Structure and simulated X-ray powder pattern of CaAl4SiO12 (DFT lattice parameters and positions (GGA-PBE); Cu Kα (λ = 1.5418 Å)).
Neutral-atom scattering factors, no anomalous dispersion.

Top 8 peaks for 10° ≤ 2θ ≤ 90°, in order of rising 2θ:
- d = 4.189 Å, I = 100.0
- d = 3.797 Å, I = 18.4
- d = 2.629 Å, I = 30.8
- d = 2.511 Å, I = 32.8
- d = 2.261 Å, I = 19.4
- d = 2.195 Å, I = 22.5
- d = 1.899 Å, I = 30.4
- d = 1.484 Å, I = 24.1

Structure:
a = 7.5942 Å, b = 7.2882 Å, c = 6.9321 Å
α = 90.00°, β = 90.00°, γ = 90.00°
Space group Amm2 (No. 38)
Inequivalent atoms, fractional coordinates:
Ca: 0.0000 0.0000 0.0000 x2
Al: 0.2588 0.2406 0.7142 x8
Si: 0.5000 0.0000 0.4368 x2
O: 0.0000 0.1980 0.7055 x4
O: 0.2077 0.0000 0.2645 x4
O: 0.2466 0.1792 0.9669 x8
O: 0.3363 0.0000 0.6072 x4
O: 0.5000 0.1812 0.2870 x4

Structure and simulated X-ray powder pattern of AgI (DFT lattice parameters and positions (GGA-PBE); Cu Kα (λ = 1.5418 Å)).
Neutral-atom scattering factors, no anomalous dispersion.

Top 8 peaks for 10° ≤ 2θ ≤ 90°, in order of rising 2θ:
- d = 6.673 Å, I = 55.1
- d = 3.781 Å, I = 100.0
- d = 2.918 Å, I = 55.6
- d = 2.326 Å, I = 94.6
- d = 2.295 Å, I = 47.2
- d = 1.962 Å, I = 31.9
- d = 1.622 Å, I = 15.5
- d = 1.331 Å, I = 30.4

Structure:
a = 4.5891 Å, b = 4.5891 Å, c = 6.6732 Å
α = 90.00°, β = 90.00°, γ = 90.00°
Space group P4/nmm (No. 129, origin choice 2)
Inequivalent atoms, fractional coordinates:
Ag: 0.2500 0.7500 0.0000 x2
I: 0.2500 0.2500 0.2715 x2

Structure and simulated X-ray powder pattern of HfAlCu2 (DFT lattice parameters and positions (GGA-PBE); Cu Kα (λ = 1.5418 Å)).
Neutral-atom scattering factors, no anomalous dispersion.

Top 8 peaks for 10° ≤ 2θ ≤ 90°, in order of rising 2θ:
- d = 3.578 Å, I = 47.0
- d = 2.191 Å, I = 100.0
- d = 1.869 Å, I = 23.9
- d = 1.549 Å, I = 16.3
- d = 1.422 Å, I = 9.8
- d = 1.265 Å, I = 32.4
- d = 1.193 Å, I = 7.5
- d = 1.096 Å, I = 10.6

Structure:
a = 6.1979 Å, b = 6.1979 Å, c = 6.1979 Å
α = 90.00°, β = 90.00°, γ = 90.00°
Space group Fm-3m (No. 225)
Inequivalent atoms, fractional coordinates:
Hf: 0.0000 0.0000 0.0000 x4
Al: 0.0000 0.0000 0.5000 x4
Cu: 0.2500 0.2500 0.2500 x8

Structure and simulated X-ray powder pattern of Ba3InRu2O9 (DFT lattice parameters and positions (GGA-PBE); Cu Kα (λ = 1.5418 Å)).
Neutral-atom scattering factors, no anomalous dispersion.

Top 8 peaks for 10° ≤ 2θ ≤ 90°, in order of rising 2θ:
- d = 3.509 Å, I = 15.3
- d = 2.955 Å, I = 100.0
- d = 2.261 Å, I = 11.7
- d = 2.089 Å, I = 22.0
- d = 1.916 Å, I = 12.3
- d = 1.706 Å, I = 26.7
- d = 1.478 Å, I = 11.7
- d = 1.117 Å, I = 13.2

Structure:
a = 5.9130 Å, b = 5.9130 Å, c = 14.4506 Å
α = 90.00°, β = 90.00°, γ = 120.00°
Space group P6_3/mmc (No. 194)
Inequivalent atoms, fractional coordinates:
Ba: 0.0000 0.0000 0.2500 x2
Ba: 0.3333 0.6667 0.0890 x4
In: 0.0000 0.0000 0.0000 x2
Ru: 0.3333 0.6667 0.6635 x4
O: 0.0214 0.5107 0.7500 x6
O: 0.1733 0.3465 0.5859 x12

Structure and simulated X-ray powder pattern of SrH4O3 (DFT lattice parameters and positions (GGA-PBE); Cu Kα (λ = 1.5418 Å)).
Neutral-atom scattering factors, no anomalous dispersion.

Top 8 peaks for 10° ≤ 2θ ≤ 90°, in order of rising 2θ:
- d = 5.689 Å, I = 100.0
- d = 4.737 Å, I = 69.2
- d = 4.207 Å, I = 43.5
- d = 3.767 Å, I = 62.2
- d = 3.568 Å, I = 80.3
- d = 2.960 Å, I = 52.1
- d = 2.590 Å, I = 69.4
- d = 2.539 Å, I = 73.4

Structure:
a = 3.8033 Å, b = 5.7869 Å, c = 7.1898 Å
α = 82.98°, β = 89.03°, γ = 82.07°
Space group P1 (No. 1)
Inequivalent atoms, fractional coordinates:
Sr: 0.0000 0.0000 0.0000 x1
Sr: 0.0121 0.2502 0.5130 x1
H: 0.1451 0.4722 0.8723 x1
H: 0.1507 0.7402 0.4153 x1
H: 0.4479 0.4836 0.1204 x1
H: 0.4776 0.5654 0.6259 x1
H: 0.5485 0.0757 0.2764 x1
H: 0.5761 0.8694 0.6977 x1
H: 0.6690 0.5450 0.9392 x1
H: 0.7295 0.7442 0.4086 x1
O: 0.3853 0.1947 0.2009 x1
O: 0.4615 0.5600 0.4912 x1
O: 0.4806 0.6259 0.0303 x1
O: 0.5240 0.0303 0.7290 x1
O: 0.9210 0.8463 0.3661 x1
O: 0.9346 0.4175 0.8254 x1

Structure and simulated X-ray powder pattern of MnTl3 (DFT lattice parameters and positions (GGA-PBE); Cu Kα (λ = 1.5418 Å)).
Neutral-atom scattering factors, no anomalous dispersion.

Top 8 peaks for 10° ≤ 2θ ≤ 90°, in order of rising 2θ:
- d = 3.977 Å, I = 17.1
- d = 2.902 Å, I = 23.3
- d = 2.729 Å, I = 26.5
- d = 2.563 Å, I = 100.0
- d = 1.988 Å, I = 16.0
- d = 1.676 Å, I = 18.5
- d = 1.542 Å, I = 21.4
- d = 1.428 Å, I = 21.9

Structure:
a = 6.7030 Å, b = 6.7030 Å, c = 5.4585 Å
α = 90.00°, β = 90.00°, γ = 120.00°
Space group P6_3/mmc (No. 194)
Inequivalent atoms, fractional coordinates:
Mn: 0.3333 0.6667 0.2500 x2
Tl: 0.1709 0.3418 0.7500 x6

Structure and simulated X-ray powder pattern of CeNiAs (DFT lattice parameters and positions (GGA-PBE); Cu Kα (λ = 1.5418 Å)).
Neutral-atom scattering factors, no anomalous dispersion.

Top 8 peaks for 10° ≤ 2θ ≤ 90°, in order of rising 2θ:
- d = 3.554 Å, I = 11.3
- d = 2.647 Å, I = 100.0
- d = 2.052 Å, I = 42.4
- d = 1.984 Å, I = 12.7
- d = 1.622 Å, I = 22.3
- d = 1.426 Å, I = 25.5
- d = 1.272 Å, I = 19.6
- d = 1.240 Å, I = 9.0

Structure:
a = 4.1037 Å, b = 4.1037 Å, c = 3.9677 Å
α = 90.00°, β = 90.00°, γ = 120.00°
Space group P-6m2 (No. 187)
Inequivalent atoms, fractional coordinates:
Ce: 0.0000 0.0000 0.0000 x1
Ni: 0.3333 0.6667 0.5000 x1
As: 0.6667 0.3333 0.5000 x1

Structure and simulated X-ray powder pattern of SrMg14CO16 (DFT lattice parameters and positions (GGA-PBE); Cu Kα (λ = 1.5418 Å)).
Neutral-atom scattering factors, no anomalous dispersion.

Top 8 peaks for 10° ≤ 2θ ≤ 90°, in order of rising 2θ:
- d = 8.640 Å, I = 20.8
- d = 2.897 Å, I = 12.7
- d = 2.505 Å, I = 23.9
- d = 2.189 Å, I = 53.6
- d = 2.160 Å, I = 100.0
- d = 1.538 Å, I = 58.6
- d = 1.527 Å, I = 27.9
- d = 1.253 Å, I = 25.9

Structure:
a = 8.6404 Å, b = 8.6404 Å, c = 4.3780 Å
α = 90.00°, β = 90.00°, γ = 90.00°
Space group P4/mmm (No. 123)
Inequivalent atoms, fractional coordinates:
Sr: 0.0000 0.0000 0.0000 x1
Mg: 0.0000 0.2600 0.5000 x4
Mg: 0.0000 0.5000 0.0000 x2
Mg: 0.2545 0.5000 0.5000 x4
Mg: 0.2582 0.2582 0.0000 x4
C: 0.5000 0.5000 0.0000 x1
O: 0.0000 0.0000 0.5000 x1
O: 0.0000 0.2719 0.0000 x4
O: 0.0000 0.5000 0.5000 x2
O: 0.2512 0.2512 0.5000 x4
O: 0.2533 0.5000 0.0000 x4
O: 0.5000 0.5000 0.5000 x1

Structure and simulated X-ray powder pattern of SrNdEuNbO6 (DFT lattice parameters and positions (GGA-PBE); Cu Kα (λ = 1.5418 Å)).
Neutral-atom scattering factors, no anomalous dispersion.

Top 8 peaks for 10° ≤ 2θ ≤ 90°, in order of rising 2θ:
- d = 4.971 Å, I = 5.6
- d = 3.044 Å, I = 100.0
- d = 2.153 Å, I = 30.8
- d = 1.758 Å, I = 40.6
- d = 1.522 Å, I = 19.1
- d = 1.361 Å, I = 18.2
- d = 1.243 Å, I = 6.3
- d = 1.151 Å, I = 21.4

Structure:
a = 8.6104 Å, b = 8.6104 Å, c = 8.6104 Å
α = 90.00°, β = 90.00°, γ = 90.00°
Space group F-43m (No. 216)
Inequivalent atoms, fractional coordinates:
Sr: 0.0000 0.0000 0.0000 x4
Nd: 0.2500 0.2500 0.2500 x4
Eu: 0.0000 0.0000 0.5000 x4
Nb: 0.2500 0.2500 0.7500 x4
O: 0.0168 0.2500 0.7500 x24

Structure and simulated X-ray powder pattern of SrTl2Pd (DFT lattice parameters and positions (GGA-PBE); Cu Kα (λ = 1.5418 Å)).
Neutral-atom scattering factors, no anomalous dispersion.

Top 8 peaks for 10° ≤ 2θ ≤ 90°, in order of rising 2θ:
- d = 4.215 Å, I = 34.7
- d = 2.983 Å, I = 100.0
- d = 2.874 Å, I = 61.7
- d = 2.721 Å, I = 43.2
- d = 2.515 Å, I = 41.4
- d = 2.377 Å, I = 67.5
- d = 2.342 Å, I = 65.9
- d = 2.274 Å, I = 48.5

Structure:
a = 4.5471 Å, b = 11.1262 Å, c = 8.4571 Å
α = 90.00°, β = 90.00°, γ = 90.00°
Space group Cmcm (No. 63)
Inequivalent atoms, fractional coordinates:
Sr: 0.0000 0.0651 0.2500 x4
Tl: 0.0000 0.3523 0.0509 x8
Pd: 0.0000 0.2192 0.7500 x4

Structure and simulated X-ray powder pattern of Ba2CdSn (DFT lattice parameters and positions (GGA-PBE); Cu Kα (λ = 1.5418 Å)).
Neutral-atom scattering factors, no anomalous dispersion.

Top 7 peaks for 10° ≤ 2θ ≤ 90°, in order of rising 2θ:
- d = 3.026 Å, I = 100.0
- d = 2.140 Å, I = 18.8
- d = 1.747 Å, I = 39.8
- d = 1.513 Å, I = 12.4
- d = 1.353 Å, I = 17.2
- d = 1.236 Å, I = 4.3
- d = 1.144 Å, I = 20.7

Structure:
a = 8.5601 Å, b = 8.5601 Å, c = 8.5601 Å
α = 90.00°, β = 90.00°, γ = 90.00°
Space group Fm-3m (No. 225)
Inequivalent atoms, fractional coordinates:
Ba: 0.2500 0.2500 0.2500 x8
Cd: 0.0000 0.0000 0.0000 x4
Sn: 0.0000 0.0000 0.5000 x4

Structure and simulated X-ray powder pattern of LiIO4 (DFT lattice parameters and positions (GGA-PBE); Cu Kα (λ = 1.5418 Å)).
Neutral-atom scattering factors, no anomalous dispersion.

Top 8 peaks for 10° ≤ 2θ ≤ 90°, in order of rising 2θ:
- d = 5.086 Å, I = 34.0
- d = 4.385 Å, I = 100.0
- d = 4.330 Å, I = 51.0
- d = 4.299 Å, I = 55.0
- d = 3.932 Å, I = 40.9
- d = 3.851 Å, I = 41.2
- d = 3.051 Å, I = 37.5
- d = 2.732 Å, I = 43.2

Structure:
a = 5.3437 Å, b = 8.6596 Å, c = 9.0352 Å
α = 90.00°, β = 107.88°, γ = 90.00°
Space group P2_1/c (No. 14)
Inequivalent atoms, fractional coordinates:
Li: 0.2097 0.0503 0.1438 x4
I: 0.3470 0.7106 0.9542 x4
O: 0.1384 0.6116 0.7878 x4
O: 0.1826 0.6096 0.4667 x4
O: 0.3373 0.2405 0.0631 x4
O: 0.3954 0.5977 0.1274 x4